Theoretical X-ray powder pattern of YH9C5N2O8 for Cu Kα (λ = 1.5418 Å), from a cell relaxed with PBE.

Structure:
Cell: 11.348 7.336 6.664 Å, 90.00 108.15 90.00°
Space group C2 (No. 5)
Symmetry-distinct sites (fractional):
Y (0.000, 0.000, 0.000) (multiplicity 2)
H (0.000, 0.916, 0.500) (multiplicity 2)
H (0.011, 0.546, 0.182) (multiplicity 4)
H (0.128, 0.393, 0.464) (multiplicity 4)
H (0.188, 0.344, 0.875) (multiplicity 4)
H (0.221, 0.584, 0.580) (multiplicity 4)
C (0.000, 0.066, 0.500) (multiplicity 2)
C (0.088, 0.623, 0.293) (multiplicity 4)
C (0.237, 0.290, 0.035) (multiplicity 4)
N (0.152, 0.526, 0.458) (multiplicity 4)
O (0.004, 0.147, 0.333) (multiplicity 4)
O (0.109, 0.787, 0.262) (multiplicity 4)
O (0.152, 0.836, 0.877) (multiplicity 4)
O (0.174, 0.185, 0.117) (multiplicity 4)

Main lines, sorted by position (2θ from 5° to 70°):
index	two_theta	I (rel.)
0 0 1	13.99	40.0
1 1 0	14.60	100.0
2 0 0	16.44	25.4
1 1 -1	18.40	38.9
1 1 1	22.00	40.5
3 1 0	27.64	29.6
1 1 -2	29.45	52.0
2 2 1	34.97	25.5